Structure and theoretical X-ray powder pattern of Sr2CaBi2 (a structure optimized by DFT (GGA-PBE); Cu Kα).

Peak list (12 most intense, 2θ = 10–90°, in order of falling intensity)
| 2θ/deg | intensity | hkl |
| --- | --- | --- |
| 20.14 | 1000 | 2 1 1 |
| 30.49 | 368 | 0 2 2 |
| 36.64 | 229 | 2 1 3 |
| 31.30 | 223 | 3 1 2 |
| 43.40 | 213 | 0 0 4 |
| 34.37 | 206 | 4 0 2 |
| 38.50 | 162 | 3 3 0 |
| 25.01 | 156 | 1 2 1 |
| 34.55 | 136 | 4 2 0 |
| 13.24 | 113 | 2 0 0 |
| 33.33 | 101 | 1 3 0 |
| 63.37 | 96 | 7 3 2 |

Structural model:
Lattice parameters (Å, degrees): 13.372 8.239 8.348 90.00 90.00 90.00
Space group Pbcm (No. 57)
Unique sites:
Sr 0.053 0.250 0.000 (multiplicity 4)
Sr 0.446 0.250 0.000 (multiplicity 4)
Ca 0.250 0.750 0.000 (multiplicity 4)
Bi 0.113 0.553 0.250 (multiplicity 4)
Bi 0.388 0.554 0.750 (multiplicity 4)